No. 1
Diffraction record for CaPm12In3. The powder diffractogram is calculated, not measured: it uses a structure optimized by DFT (PBE) and copper Kα.
Peak positions follow from Bragg's law for the DFT cell and can differ from measured ones.

Largest 6 diffraction maxima, sorted by position, 2θ = 10–90°:
d = 2.896 Å, 2θ 30.87, I 100, (1 1 4)
d = 2.547 Å, 2θ 35.24, I 16, (0 0 8)
d = 2.490 Å, 2θ 36.07, I 34, (2 0 0)
d = 1.780 Å, 2θ 51.32, I 22, (2 0 8)
d = 1.761 Å, 2θ 51.94, I 12, (2 2 0)
d = 1.504 Å, 2θ 61.65, I 28, (3 1 4)

Cell and atoms:
```
16
Lattice="4.9796 0.0000 0.0000 0.0000 4.9796 0.0000 0.0000 0.0000 20.3735" Properties=species:S:1:pos:R:3 pbc="T T T"
Ca 0.0000 0.0000 0.0000
Pm 0.0000 2.4898 2.7658
Pm 0.0000 2.4898 7.7025
Pm 0.0000 2.4898 12.6710
Pm 0.0000 2.4898 17.6076
Pm 2.4898 0.0000 2.7658
Pm 2.4898 0.0000 7.7025
Pm 2.4898 0.0000 12.6710
Pm 2.4898 0.0000 17.6076
Pm 2.4898 2.4898 0.0000
Pm 2.4898 2.4898 5.2153
Pm 2.4898 2.4898 10.1867
Pm 2.4898 2.4898 15.1581
In 0.0000 0.0000 5.2556
In 0.0000 0.0000 10.1867
In 0.0000 0.0000 15.1178
```

=====

No. 2
Diffraction record for Pm8Dy6Pb. The powder diffractogram is calculated, not measured: it uses a structure optimized by DFT (PBE) and copper Kα.
Peak positions follow from Bragg's law for the DFT cell and can differ from measured ones.

Largest 6 diffraction maxima, sorted by position, 2θ = 10–90°:
d = 3.445 Å, 2θ 25.86, I 22, (0 2 1)
d = 3.053 Å, 2θ 29.25, I 44, (1 2 0)
d = 2.772 Å, 2θ 32.30, I 100, (3 -1 1)
d = 2.692 Å, 2θ 33.28, I 47, (1 1 2)
d = 1.785 Å, 2θ 51.19, I 18, (2 3 1)
d = 1.488 Å, 2θ 62.42, I 19, (2 4 1)

Cell and atoms:
```
15
Lattice="9.3343 0.0000 0.0000 -4.6672 8.0838 0.0000 0.0000 0.0000 6.5883" Properties=species:S:1:pos:R:3 pbc="T T T"
Pm -3.2067 6.2066 1.1672
Pm 0.8955 2.2034 1.1672
Pm 2.3559 0.3262 5.4211
Pm 0.0000 5.3892 0.9200
Pm 4.6672 2.6946 5.6683
Pm 2.3112 7.7576 1.1672
Pm 3.7717 5.8804 5.4211
Pm 7.8739 1.8772 5.4211
Dy -2.1286 5.2529 4.3760
Dy 1.1823 3.6139 4.3760
Dy 3.7209 0.7831 2.2123
Dy 0.9463 7.3007 4.3760
Dy 3.4849 4.4699 2.2123
Dy 6.7957 2.8308 2.2123
Pb 0.0000 0.0000 3.2941
```

=====

Please write out number 1 again, unchanged.
Diffraction record for CaPm12In3. The powder diffractogram is calculated, not measured: it uses a structure optimized by DFT (PBE) and copper Kα.
Peak positions follow from Bragg's law for the DFT cell and can differ from measured ones.

Largest 6 diffraction maxima, sorted by position, 2θ = 10–90°:
d = 2.896 Å, 2θ 30.87, I 100, (1 1 4)
d = 2.547 Å, 2θ 35.24, I 16, (0 0 8)
d = 2.490 Å, 2θ 36.07, I 34, (2 0 0)
d = 1.780 Å, 2θ 51.32, I 22, (2 0 8)
d = 1.761 Å, 2θ 51.94, I 12, (2 2 0)
d = 1.504 Å, 2θ 61.65, I 28, (3 1 4)

Cell and atoms:
```
16
Lattice="4.9796 0.0000 0.0000 0.0000 4.9796 0.0000 0.0000 0.0000 20.3735" Properties=species:S:1:pos:R:3 pbc="T T T"
Ca 0.0000 0.0000 0.0000
Pm 0.0000 2.4898 2.7658
Pm 0.0000 2.4898 7.7025
Pm 0.0000 2.4898 12.6710
Pm 0.0000 2.4898 17.6076
Pm 2.4898 0.0000 2.7658
Pm 2.4898 0.0000 7.7025
Pm 2.4898 0.0000 12.6710
Pm 2.4898 0.0000 17.6076
Pm 2.4898 2.4898 0.0000
Pm 2.4898 2.4898 5.2153
Pm 2.4898 2.4898 10.1867
Pm 2.4898 2.4898 15.1581
In 0.0000 0.0000 5.2556
In 0.0000 0.0000 10.1867
In 0.0000 0.0000 15.1178
```